# ThInSe3
Simulated PXRD pattern, Cu Kα X-rays. Input: a PBE-relaxed structure.

Main lines, sorted by position (2θ = 10–90°):
2theta, I (rel.)
17.56, 43
24.23, 65
25.32, 22
27.30, 47
29.66, 29
32.65, 91
35.83, 54
39.46, 44
41.99, 100
56.32, 29

Crystal structure
a b c (Å): 4.3078 20.1991 7.5049
angles (deg): 90.00 90.00 90.00
Space group Cmc2_1 (No. 36)
One atom of each set of equivalent atoms:
Th1 0.0000 0.1679 0.0000 x4
In1 0.0000 0.3518 0.0262 x4
Se1 0.0000 0.0863 0.6829 x4
Se2 0.0000 0.2526 0.3306 x4
Se3 0.0000 0.4012 0.6744 x4

# Ti2InSe4
Simulated PXRD pattern, Cu Kα X-rays. Input: a PBE-relaxed structure.

Main lines, sorted by position (2θ = 10–90°):
2theta, I (rel.)
30.63, 60
31.35, 15
32.44, 35
32.89, 100
35.01, 35
42.78, 28
48.22, 21
49.24, 23
59.12, 18
59.34, 19

Crystal structure
a b c (Å): 3.7007 12.6687 13.1536
angles (deg): 90.00 90.00 90.00
Space group Cmcm (No. 63)
One atom of each set of equivalent atoms:
Ti1 0.0000 0.1315 0.0635 x8
In1 0.0000 0.3991 0.2500 x4
Se1 0.0000 0.0741 0.2500 x4
Se2 0.0000 0.2309 0.6096 x8
Se3 0.0000 0.5000 0.0000 x4

# Ti4InSe8
Simulated PXRD pattern, Cu Kα X-rays. Input: a PBE-relaxed structure.

Main lines, sorted by position (2θ = 10–90°):
2theta, I (rel.)
23.51, 17
27.65, 39
28.90, 77
33.50, 85
41.33, 20
43.97, 33
48.10, 100
57.09, 32
80.23, 16
89.80, 25

Crystal structure
a b c (Å): 10.7013 10.7013 10.7013
angles (deg): 90.00 90.00 90.00
Space group F-43m (No. 216)
One atom of each set of equivalent atoms:
Ti1 0.1090 0.1090 0.1090 x16
In1 0.0000 0.0000 0.5000 x4
Se1 0.1258 0.1258 0.8742 x16
Se2 0.1403 0.1403 0.3597 x16

# TiIn2Se4
Simulated PXRD pattern, Cu Kα X-rays. Input: a PBE-relaxed structure.

Main lines, sorted by position (2θ = 10–90°):
2theta, I (rel.)
16.49, 100
17.06, 23
29.10, 83
30.11, 50
33.33, 60
34.51, 100
45.52, 86
46.67, 22
51.16, 31
78.04, 29

Crystal structure
a b c (Å): 7.6041 7.6041 7.1201
angles (deg): 90.00 90.00 90.00
Space group I4/m (No. 87)
One atom of each set of equivalent atoms:
Ti1 0.0000 0.0000 0.0000 x2
In1 0.0000 0.5000 0.2500 x4
Se1 0.1703 0.2974 0.0000 x8

# Tl8InSe6
Simulated PXRD pattern, Cu Kα X-rays. Input: a PBE-relaxed structure.

Main lines, sorted by position (2θ = 10–90°):
2theta, I (rel.)
24.01, 82
24.85, 100
28.58, 52
30.99, 57
31.34, 36
31.86, 50
34.72, 54
37.05, 44
39.17, 39
41.53, 83

Crystal structure
a b c (Å): 9.1984 9.7418 11.4248
angles (deg): 90.00 90.00 90.00
Space group Pmn2_1 (No. 31)
One atom of each set of equivalent atoms:
Tl1 0.0000 0.2222 0.0000 x2
Tl2 0.0000 0.2305 0.4231 x2
Tl3 0.2025 0.7072 0.0790 x4
Tl4 0.2240 0.5640 0.7940 x4
Tl5 0.2284 0.9479 0.7814 x4
In1 0.0000 0.7466 0.4771 x2
Se1 0.0000 0.4684 0.1429 x2
Se2 0.0000 0.5178 0.5992 x2
Se3 0.0000 0.9281 0.9796 x2
Se4 0.0000 0.9822 0.5928 x2
Se5 0.2384 0.7441 0.3441 x4

# Tl5In2Se4
Simulated PXRD pattern, Cu Kα X-rays. Input: a PBE-relaxed structure.

Main lines, sorted by position (2θ = 10–90°):
2theta, I (rel.)
26.76, 50
27.07, 38
28.53, 40
28.69, 100
30.65, 25
34.01, 28
41.60, 25
43.08, 29
44.43, 28
52.48, 18

Crystal structure
a b c (Å): 4.1991 9.2582 10.3101
angles (deg): 113.76 90.03 103.06
Space group P-1 (No. 2)
One atom of each set of equivalent atoms:
Tl1 0.0000 0.0000 0.0000 x1
Tl2 0.2770 0.5535 0.3805 x2
Tl3 0.3526 0.7061 0.0060 x2
In1 0.0074 0.0151 0.6413 x2
Se1 0.1732 0.3445 0.7885 x2
Se2 0.4355 0.8710 0.7103 x2

# Tl3In7Se10
Simulated PXRD pattern, Cu Kα X-rays. Input: a PBE-relaxed structure.

Main lines, sorted by position (2θ = 10–90°):
2theta, I (rel.)
21.62, 42
27.47, 34
30.76, 52
33.85, 100
40.52, 18
49.59, 24
51.72, 25
56.70, 20
75.43, 14
78.62, 17

Crystal structure
a b c (Å): 6.7643 10.7508 16.6387
angles (deg): 102.30 91.11 97.75
Space group P-1 (No. 2)
One atom of each set of equivalent atoms:
Tl1 0.1551 0.1030 0.4500 x2
Tl2 0.2487 0.4997 0.7496 x2
Tl3 0.3451 0.8967 0.0498 x2
In1 0.0467 0.7005 0.1511 x2
In2 0.0503 0.2001 0.1501 x2
In3 0.1505 0.5995 0.4498 x2
In4 0.2489 0.0005 0.7501 x2
In5 0.3509 0.4005 0.0506 x2
In6 0.4520 0.2992 0.3480 x2
In7 0.4518 0.7992 0.3498 x2
Se1 0.0355 0.6381 0.6034 x2
Se2 0.0602 0.7683 0.3648 x2
Se3 0.1425 0.0308 0.2344 x2
Se4 0.1658 0.1630 0.9966 x2
Se5 0.2351 0.4380 0.2040 x2
Se6 0.2573 0.5676 0.9653 x2
Se7 0.3412 0.8310 0.8337 x2
Se8 0.3651 0.9623 0.5969 x2
Se9 0.4327 0.2384 0.8038 x2
Se10 0.4583 0.3703 0.5655 x2

# TlIn5Se7
Simulated PXRD pattern, Cu Kα X-rays. Input: a PBE-relaxed structure.

Main lines, sorted by position (2θ = 10–90°):
2theta, I (rel.)
28.24, 53
28.88, 41
29.78, 84
30.69, 100
31.64, 34
32.92, 75
37.15, 42
43.81, 70
44.23, 30
45.52, 37

Crystal structure
a b c (Å): 9.6141 4.1332 18.2570
angles (deg): 90.00 101.08 90.00
Space group P2_1/m (No. 11)
One atom of each set of equivalent atoms:
Tl1 0.0204 0.2500 0.2273 x2
In1 0.1479 0.7500 0.4533 x2
In2 0.1702 0.2500 0.0342 x2
In3 0.3200 0.7500 0.6855 x2
In4 0.4311 0.2500 0.3764 x2
In5 0.4813 0.2500 0.8990 x2
Se1 0.0291 0.7500 0.0906 x2
Se2 0.0570 0.7500 0.5905 x2
Se3 0.2551 0.7500 0.3228 x2
Se4 0.2644 0.2500 0.7712 x2
Se5 0.3299 0.7500 0.9665 x2
Se6 0.3362 0.2500 0.5052 x2
Se7 0.3807 0.2500 0.1542 x2

# Tl7InSe6
Simulated PXRD pattern, Cu Kα X-rays. Input: a PBE-relaxed structure.

Main lines, sorted by position (2θ = 10–90°):
2theta, I (rel.)
22.89, 78
23.11, 18
25.11, 20
28.84, 29
29.48, 100
34.23, 34
37.13, 29
39.55, 25
44.52, 21
52.51, 21

Crystal structure
a b c (Å): 7.4942 13.4554 19.0397
angles (deg): 90.00 90.00 90.00
Space group Ibam (No. 72)
One atom of each set of equivalent atoms:
Tl1 0.0000 0.0000 0.2500 x4
Tl2 0.1406 0.3031 0.1108 x16
Tl3 0.2413 0.4561 0.5000 x8
In1 0.0000 0.5000 0.2500 x4
Se1 0.0640 0.1751 0.5000 x8
Se2 0.2385 0.4053 0.3271 x16

# Tm2InSe5
Simulated PXRD pattern, Cu Kα X-rays. Input: a PBE-relaxed structure.

Main lines, sorted by position (2θ = 10–90°):
2theta, I (rel.)
12.72, 80
16.95, 95
24.74, 88
31.71, 85
33.43, 100
40.63, 48
42.10, 41
43.01, 27
46.74, 78
54.41, 27

Crystal structure
a b c (Å): 5.6436 13.9142 12.6169
angles (deg): 90.00 90.00 90.00
Space group Cmcm (No. 63)
One atom of each set of equivalent atoms:
Tm1 0.0000 0.1642 0.0664 x8
In1 0.0000 0.1875 0.7500 x4
Se1 0.0000 0.0333 0.6050 x8
Se2 0.0000 0.2782 0.2500 x4
Se3 0.0000 0.3149 0.5820 x8

# TmInSe3
Simulated PXRD pattern, Cu Kα X-rays. Input: a PBE-relaxed structure.

Main lines, sorted by position (2θ = 10–90°):
2theta, I (rel.)
15.36, 91
23.29, 49
25.40, 100
27.69, 68
31.81, 52
35.22, 53
37.54, 77
43.53, 49
44.92, 71
45.75, 37

Crystal structure
a b c (Å): 4.1584 23.0814 6.8026
angles (deg): 90.00 90.00 90.00
Space group Ama2 (No. 40)
One atom of each set of equivalent atoms:
Tm1 0.2500 0.1752 0.0000 x4
In1 0.2500 0.3738 0.9350 x4
Se1 0.2500 0.0777 0.2632 x4
Se2 0.2500 0.2724 0.7378 x4
Se3 0.2500 0.3838 0.3107 x4